The following is a calculated powder diffraction line list of LiCe4Pr3S8. It was derived from a cell relaxed with PBE, using CuKα.
Lines closer than 0.1° are merged.

Cell and atoms:
a b c (Å): 8.102 8.102 8.102
angles (deg): 59.90 59.90 59.90
Positions (direct):
Li 0.000 0.000 0.000
Ce 0.000 0.000 0.500
Ce 0.000 0.500 0.000
Ce 0.500 0.000 0.000
Ce 0.500 0.500 0.500
Pr 0.000 0.500 0.500
Pr 0.500 0.000 0.500
Pr 0.500 0.500 0.000
S 0.241 0.755 0.755
S 0.245 0.245 0.759
S 0.245 0.759 0.245
S 0.248 0.248 0.248
S 0.752 0.752 0.752
S 0.755 0.241 0.755
S 0.755 0.755 0.241
S 0.759 0.245 0.245

Principal peaks in the range 2θ from 15° to 90°, in order of rising 2θ:
- 25.81 deg, I = 8
- 26.98 deg, I = 63
- 31.25 deg, I = 100
- 44.78 deg, I = 72
- 53.05 deg, I = 32
- 55.64 deg, I = 19
- 65.18 deg, I = 11
- 74.01 deg, I = 16
- 74.11 deg, I = 16
- 82.60 deg, I = 18